[1]
Computed powder XRD pattern of Ba2TlHgSe4 for Cu Ka, from a GGA-PBE-relaxed structure.

Largest 6 diffraction maxima, most intense first, 2θ = 5–70°:
| 2θ/deg | intensity |
| --- | --- |
| 26.05 | 100 |
| 26.23 | 99 |
| 37.30 | 77 |
| 30.24 | 62 |
| 40.33 | 56 |
| 23.63 | 35 |

```
data_Ba2TlHgSe4
_cell_length_a 11.827
_cell_length_b 13.681
_cell_length_c 8.910
_cell_angle_alpha 90.00
_cell_angle_beta 130.31
_cell_angle_gamma 90.00
_symmetry_space_group_name_H-M 'C 1 2/c 1'
_symmetry_Int_Tables_number 15
loop_
_symmetry_equiv_pos_as_xyz
'x,y,z'
'-x,-y,-z'
'-x,y,-z+1/2'
'x,-y,z+1/2'
'x+1/2,y+1/2,z'
'-x+1/2,-y+1/2,-z'
'-x+1/2,y+1/2,-z+1/2'
'x+1/2,-y+1/2,z+1/2'
loop_
_atom_site_label
_atom_site_fract_x
_atom_site_fract_y
_atom_site_fract_z
Ba1 0.000 0.000 0.000
Ba2 0.250 0.250 0.000
Tl1 0.000 0.500 0.000
Hg1 0.250 0.250 0.500
Se1 0.040 0.249 0.514
Se2 0.243 0.488 0.008
```

[2]
Computed powder XRD pattern of BaSm2Hg2 for Cu Ka, from a GGA-PBE-relaxed structure.

Largest 6 diffraction maxima, most intense first, 2θ = 5–70°:
| 2θ/deg | intensity |
| --- | --- |
| 30.54 | 100 |
| 32.19 | 99 |
| 28.19 | 46 |
| 33.95 | 45 |
| 56.46 | 36 |
| 34.35 | 35 |

```
data_BaSm2Hg2
_cell_length_a 4.010
_cell_length_b 21.418
_cell_length_c 3.924
_cell_angle_alpha 90.00
_cell_angle_beta 90.00
_cell_angle_gamma 90.00
_symmetry_space_group_name_H-M 'C m m m'
_symmetry_Int_Tables_number 65
_symmetry_space_group_name_Hall '-C 2 2'
loop_
_atom_site_label
_atom_site_fract_x
_atom_site_fract_y
_atom_site_fract_z
Ba1 0.000 0.000 0.000
Sm1 0.000 0.180 0.000
Hg1 0.000 0.388 0.500
```